Calculated XRD peak list
Compound: SmHo7Tm3
Radiation: Cu Kα (λ = 1.5418 Å)
Structure: a DFT-relaxed cell (PBE, Alexandria)

Atomic structure:
```
data_SmHo7Tm3
_space_group_name_H-M_alt 'P 1 2/m 1'
_space_group_IT_number 10
_cell_length_a 6.8962
_cell_length_b 5.4915
_cell_length_c 9.8034
_cell_angle_alpha 90.00
_cell_angle_beta 109.61
_cell_angle_gamma 90.00
loop_
_space_group_symop_operation_xyz
'x,y,z'
'-x,-y,-z'
'-x,y,-z'
'x,-y,z'
loop_
_atom_site_label
_atom_site_type_symbol
_atom_site_fract_x
_atom_site_fract_y
_atom_site_fract_z
Sm1 Sm 0.0000 0.0000 0.0000
Ho1 Ho 0.0000 0.0000 0.5000
Ho2 Ho 0.1478 0.5000 0.7903
Ho3 Ho 0.3246 0.5000 0.1427
Ho4 Ho 0.4247 0.0000 0.3320
Tm1 Tm 0.2765 0.5000 0.4964
Tm2 Tm 0.5000 0.0000 0.0000
```

The 12 most intense peaks (2θ from 5° to 70°), low angle first:
h k l, 2θ/deg, I/Imax
1 1 2, 31.78, 29
2 1 0, 32.01, 80
2 0 1, 32.13, 60
2 1 -2, 32.29, 71
0 2 0, 32.63, 100
0 1 3, 33.37, 79
2 2 1, 46.44, 17
2 2 -3, 46.84, 19
4 0 -2, 53.13, 17
2 3 0, 57.84, 22
0 3 3, 58.72, 29
4 2 -2, 63.74, 32

***

Calculated XRD peak list
Compound: K3In2Au9
Radiation: Cu Kα (λ = 1.5418 Å)
Structure: a DFT-relaxed cell (PBE, Alexandria)

Atomic structure:
```
data_K3In2Au9
_space_group_name_H-M_alt 'I m m m'
_space_group_IT_number 71
_space_group_name_Hall '-I 2 2'
_cell_length_a 4.7910
_cell_length_b 10.0023
_cell_length_c 14.0507
_cell_angle_alpha 90.00
_cell_angle_beta 90.00
_cell_angle_gamma 90.00
loop_
_atom_site_label
_atom_site_type_symbol
_atom_site_fract_x
_atom_site_fract_y
_atom_site_fract_z
K1 K 0.0000 0.0000 0.0000
K2 K 0.0000 0.0000 0.2905
In1 In 0.0000 0.1932 0.5000
Au1 Au 0.0000 0.2846 0.1304
Au2 Au 0.0000 0.3571 0.3344
Au3 Au 0.0000 0.5000 0.0000
```

The 12 most intense peaks (2θ from 5° to 70°), low angle first:
h k l, 2θ/deg, I/Imax
0 2 0, 17.73, 70
1 1 0, 20.56, 76
0 1 3, 20.94, 50
0 2 4, 31.11, 55
1 2 3, 32.17, 89
1 3 0, 32.72, 49
1 3 2, 35.19, 64
2 0 0, 37.55, 93
0 0 6, 38.44, 38
1 4 1, 41.23, 50
1 2 5, 41.39, 43
1 3 4, 41.84, 100

***

Calculated XRD peak list
Compound: Cs3Cd4Pb
Radiation: Cu Kα (λ = 1.5418 Å)
Structure: a DFT-relaxed cell (PBE, Alexandria)

Atomic structure:
```
data_Cs3Cd4Pb
_space_group_name_H-M_alt 'C 1 2 1'
_space_group_IT_number 5
_cell_length_a 13.3980
_cell_length_b 7.4402
_cell_length_c 7.6688
_cell_angle_alpha 90.00
_cell_angle_beta 117.57
_cell_angle_gamma 90.00
loop_
_space_group_symop_operation_xyz
'x,y,z'
'-x,y,-z'
'x+1/2,y+1/2,z'
'-x+1/2,y+1/2,-z'
loop_
_atom_site_label
_atom_site_type_symbol
_atom_site_fract_x
_atom_site_fract_y
_atom_site_fract_z
Cs1 Cs 0.0000 0.0000 0.0000
Cs2 Cs 0.1887 0.7667 0.5787
Cd1 Cd 0.0712 0.4943 0.9018
Cd2 Cd 0.2272 0.2180 0.8667
Pb1 Pb 0.0000 0.2862 0.5000
```

The 12 most intense peaks (2θ from 5° to 70°), low angle first:
h k l, 2θ/deg, I/Imax
1 1 0, 14.05, 23
3 1 -1, 23.39, 61
3 1 0, 25.49, 23
0 0 2, 26.22, 25
1 1 -2, 26.56, 16
0 2 1, 27.33, 61
3 1 -2, 28.16, 100
2 2 0, 28.31, 37
1 1 2, 32.86, 33
3 1 1, 33.27, 31
6 0 -1, 41.18, 16
3 3 -2, 44.78, 20

***

Calculated XRD peak list
Compound: Ac4Si2Pb
Radiation: Cu Kα (λ = 1.5418 Å)
Structure: a DFT-relaxed cell (PBE, Alexandria)

Atomic structure:
```
data_Ac4Si2Pb
_space_group_name_H-M_alt 'C m c m'
_space_group_IT_number 63
_space_group_name_Hall '-C 2c 2'
_cell_length_a 4.6261
_cell_length_b 15.0820
_cell_length_c 15.2744
_cell_angle_alpha 90.00
_cell_angle_beta 90.00
_cell_angle_gamma 90.00
loop_
_atom_site_label
_atom_site_type_symbol
_atom_site_fract_x
_atom_site_fract_y
_atom_site_fract_z
Ac1 Ac 0.0000 0.0000 0.0000
Ac2 Ac 0.0000 0.2709 0.1141
Ac3 Ac 0.0000 0.4544 0.7500
Si1 Si 0.0000 0.3671 0.5653
Pb1 Pb 0.0000 0.1170 0.7500
```

The 12 most intense peaks (2θ from 5° to 70°), low angle first:
h k l, 2θ/deg, I/Imax
1 1 2, 23.25, 26
0 2 4, 26.16, 100
1 1 3, 26.70, 71
1 3 1, 26.83, 97
1 3 2, 28.71, 64
1 1 5, 35.72, 23
2 0 0, 38.94, 32
0 6 3, 40.00, 24
1 7 0, 46.47, 23
2 2 4, 47.51, 39
1 3 7, 49.62, 25
1 9 4, 63.94, 31

***

Calculated XRD peak list
Compound: Nd2Y8Ho3
Radiation: Cu Kα (λ = 1.5418 Å)
Structure: a DFT-relaxed cell (PBE, Alexandria)

Atomic structure:
```
data_Nd2Y8Ho3
_space_group_name_H-M_alt 'P b a m'
_space_group_IT_number 55
_cell_length_a 11.7646
_cell_length_b 20.7478
_cell_length_c 3.5259
_cell_angle_alpha 90.00
_cell_angle_beta 90.00
_cell_angle_gamma 90.00
loop_
_space_group_symop_operation_xyz
'x,y,z'
'-x,-y,-z'
'-x,-y,z'
'x,y,-z'
'x+1/2,-y+1/2,-z'
'-x+1/2,y+1/2,z'
'-x+1/2,y+1/2,-z'
'x+1/2,-y+1/2,z'
loop_
_atom_site_label
_atom_site_type_symbol
_atom_site_fract_x
_atom_site_fract_y
_atom_site_fract_z
Nd1 Nd 0.1789 0.0991 0.0000
Y1 Y 0.0458 0.5717 0.0000
Y2 Y 0.0546 0.8413 0.5000
Y3 Y 0.1287 0.2862 0.0000
Y4 Y 0.2084 0.4471 0.5000
Ho1 Ho 0.0000 0.0000 0.5000
Ho2 Ho 0.1454 0.7010 0.5000
```

The 12 most intense peaks (2θ from 5° to 70°), low angle first:
h k l, 2θ/deg, I/Imax
1 2 0, 11.37, 36
2 1 1, 29.86, 70
0 4 1, 30.68, 18
1 7 0, 31.12, 44
3 5 0, 31.39, 70
1 4 1, 31.61, 100
4 3 0, 33.10, 30
3 1 1, 34.48, 63
0 6 1, 36.39, 32
0 0 2, 51.86, 21
1 7 2, 61.76, 23
3 5 2, 61.89, 20